# 1
Li3Cr3P4O16: calculated PXRD pattern (Cu Kα, 1.54184 Å), based on a structure optimized by DFT (GGA+U).

Cell: 19.1560 6.3516 10.4407 Å, 90.00 90.22 90.00°
Space group C2/c (No. 15)
Inequivalent atoms, fractional coordinates:
1 Li 0.0000 0.0337 0.2500 [4 per cell]
2 Li 0.0662 0.3856 0.9519 [8 per cell]
3 Cr 0.1564 0.0220 0.7542 [8 per cell]
4 Cr 0.2500 0.2500 0.5000 [4 per cell]
5 P 0.0827 0.1635 0.4976 [8 per cell]
6 P 0.1999 0.4796 0.2466 [8 per cell]
7 O 0.0214 0.3076 0.4698 [8 per cell]
8 O 0.0776 0.0529 0.6313 [8 per cell]
9 O 0.0864 0.0132 0.8916 [8 per cell]
10 O 0.1500 0.3002 0.4949 [8 per cell]
11 O 0.1533 0.3342 0.7825 [8 per cell]
12 O 0.1557 0.2862 0.2180 [8 per cell]
13 O 0.2423 0.0523 0.6441 [8 per cell]
14 O 0.2452 0.0225 0.3651 [8 per cell]

Most intense lines, 2θ from 10° to 90°, sorted by position:
2θ (°)  I_rel
14.7  48
17.0  100
19.4  48
25.2  16
27.2  16
28.5  17
29.6  32
32.8  19
33.0  69
34.4  36

=====

# 2
LiCrP5O15: calculated PXRD pattern (Cu Kα, 1.54184 Å), based on a structure optimized by DFT (GGA+U).

Cell: 5.2627 9.6993 13.1271 Å, 90.00 109.29 90.00°
Space group Pc (No. 7)
Inequivalent atoms, fractional coordinates:
1 Li 0.0000 0.1075 0.0000 [2 per cell]
2 Cr 0.9606 0.4965 0.5717 [2 per cell]
3 P 0.3777 0.3220 0.4866 [2 per cell]
4 P 0.4160 0.0278 0.4238 [2 per cell]
5 P 0.4744 0.0304 0.2074 [2 per cell]
6 P 0.5448 0.3241 0.1557 [2 per cell]
7 P 0.9609 0.4832 0.3216 [2 per cell]
8 O 0.1996 0.0051 0.1284 [2 per cell]
9 O 0.2052 0.0825 0.9048 [2 per cell]
10 O 0.2155 0.3816 0.3672 [2 per cell]
11 O 0.2456 0.3481 0.1292 [2 per cell]
12 O 0.2489 0.3693 0.5676 [2 per cell]
13 O 0.3079 0.1630 0.4679 [2 per cell]
14 O 0.4384 0.0934 0.3146 [2 per cell]
15 O 0.6093 0.1639 0.1713 [2 per cell]
16 O 0.6650 0.0892 0.7275 [2 per cell]
17 O 0.6741 0.3477 0.5106 [2 per cell]
18 O 0.6743 0.3717 0.0748 [2 per cell]
19 O 0.6923 0.0103 0.9945 [2 per cell]
20 O 0.7045 0.3811 0.2751 [2 per cell]
21 O 0.9219 0.4408 0.9158 [2 per cell]
22 O 0.9973 0.4397 0.7276 [2 per cell]

Most intense lines, 2θ from 10° to 90°, sorted by position:
2θ (°)  I_rel
11.6  73
18.3  59
20.1  100
23.3  29
23.4  16
25.7  15
28.5  35
30.3  31
33.1  35
34.1  19

=====

# 3
LiCrP2O7: calculated PXRD pattern (Cu Kα, 1.54184 Å), based on a structure optimized by DFT (GGA+U).

Cell: 6.1469 6.3007 7.8305 Å, 98.27 103.50 109.49°
Space group P-1 (No. 2)
Inequivalent atoms, fractional coordinates:
1 Li 0.0000 0.0000 0.0000 [1 per cell]
2 Li 0.0000 0.0000 0.5000 [1 per cell]
3 Cr 0.3723 0.6892 0.2301 [2 per cell]
4 P 0.1785 0.4430 0.7915 [2 per cell]
5 P 0.4497 0.2364 0.3189 [2 per cell]
6 O 0.0884 0.6990 0.3129 [2 per cell]
7 O 0.2173 0.6121 0.9640 [2 per cell]
8 O 0.2757 0.5924 0.6528 [2 per cell]
9 O 0.2785 0.3406 0.2168 [2 per cell]
10 O 0.3043 0.2688 0.8099 [2 per cell]
11 O 0.4038 0.0051 0.1969 [2 per cell]
12 O 0.4229 0.2183 0.5063 [2 per cell]

Most intense lines, 2θ from 10° to 90°, sorted by position:
2θ (°)  I_rel
15.4  88
16.0  94
16.9  25
17.1  43
24.1  100
29.0  42
30.1  21
30.4  22
31.0  70
31.8  22

=====

# 4
Li2CrP5O15: calculated PXRD pattern (Cu Kα, 1.54184 Å), based on a structure optimized by DFT (GGA+U).

Cell: 7.5896 11.0894 13.4916 Å, 90.00 102.28 90.00°
Space group Cc (No. 9)
Inequivalent atoms, fractional coordinates:
1 Li 0.0000 0.1420 0.0000 [4 per cell]
2 Li 0.1882 0.2513 0.3413 [4 per cell]
3 Cr 0.2176 0.3658 0.7872 [4 per cell]
4 P 0.1230 0.3680 0.5369 [4 per cell]
5 P 0.3152 0.0614 0.5075 [4 per cell]
6 P 0.3194 0.3088 0.0349 [4 per cell]
7 P 0.3853 0.0943 0.7336 [4 per cell]
8 P 0.4982 0.4058 0.2367 [4 per cell]
9 O 0.0004 0.2506 0.5138 [4 per cell]
10 O 0.0243 0.4981 0.7664 [4 per cell]
11 O 0.0254 0.2238 0.7745 [4 per cell]
12 O 0.1434 0.0055 0.9979 [4 per cell]
13 O 0.1938 0.0350 0.7401 [4 per cell]
14 O 0.2043 0.2280 0.0821 [4 per cell]
15 O 0.2249 0.3627 0.6460 [4 per cell]
16 O 0.2394 0.3700 0.9358 [4 per cell]
17 O 0.2387 0.3730 0.4607 [4 per cell]
18 O 0.3394 0.1501 0.4294 [4 per cell]
19 O 0.3655 0.1308 0.6181 [4 per cell]
20 O 0.4003 0.4906 0.2938 [4 per cell]
21 O 0.4025 0.4115 0.1184 [4 per cell]
22 O 0.4125 0.2137 0.7929 [4 per cell]
23 O 0.4865 0.0260 0.0241 [4 per cell]

Most intense lines, 2θ from 10° to 90°, sorted by position:
2θ (°)  I_rel
14.4  11
14.7  82
16.9  11
17.4  14
26.9  51
27.1  61
27.2  10
28.4  40
28.6  100
44.1  12